[1]
Calculated X-ray diffraction stick pattern of BaGdCo2O5 for Cu Kα X-rays, from the GGA+U geometry in the Materials Project.

Structural model:
Cell lengths 3.869, 3.869, 7.582 Å; angles 90.00, 90.00, 90.00 degrees
Fractional coordinates of all 9 atoms:
1 Ba 0.000 0.000 0.000
2 Gd 0.000 0.000 0.500
3 Co 0.500 0.500 0.261
4 Co 0.500 0.500 0.739
5 O 0.000 0.500 0.308
6 O 0.000 0.500 0.692
7 O 0.500 0.000 0.308
8 O 0.500 0.000 0.692
9 O 0.500 0.500 0.000

The 10 most intense peaks (5 to 70 degrees two-theta), low angle first:
2θ = 22.99°, I 16.3, (1 0 0)
2θ = 32.73°, I 43.2, (1 1 0)
2θ = 33.08°, I 100.0, (1 0 2)
2θ = 40.67°, I 18.9, (1 1 2)
2θ = 46.97°, I 28.2, (2 0 0)
2θ = 48.00°, I 10.3, (0 0 4)
2θ = 58.65°, I 38.0, (2 1 2)
2θ = 59.31°, I 20.0, (1 1 4)
2θ = 68.61°, I 8.4, (2 2 0)
2θ = 69.42°, I 13.1, (2 0 4)

---

[2]
Calculated X-ray diffraction stick pattern of BaGdCo2O5 for Cu Kα X-rays, from the GGA+U geometry in the Materials Project.

Structural model:
Cell lengths 3.845, 4.023, 7.659 Å; angles 90.00, 90.00, 90.00 degrees
Fractional coordinates of all 9 atoms:
1 Ba 0.000 0.000 0.000
2 Gd 0.000 0.000 0.500
3 Co 0.500 0.500 0.256
4 Co 0.500 0.500 0.744
5 O 0.000 0.500 0.315
6 O 0.000 0.500 0.685
7 O 0.500 0.000 0.308
8 O 0.500 0.000 0.692
9 O 0.500 0.500 0.000

The 10 most intense peaks (5 to 70 degrees two-theta), low angle first:
2θ = 23.17°, I 14.6, (1 0 0)
2θ = 32.24°, I 100.0, (0 1 2)
2θ = 33.01°, I 52.0, (1 0 2)
2θ = 40.08°, I 19.6, (1 1 2)
2θ = 45.07°, I 16.4, (0 2 0)
2θ = 47.28°, I 14.1, (2 0 0)
2θ = 47.48°, I 10.7, (0 0 4)
2θ = 56.99°, I 21.4, (1 2 2)
2θ = 58.41°, I 19.7, (2 1 2)
2θ = 58.53°, I 22.0, (1 1 4)

---

[3]
Calculated X-ray diffraction stick pattern of Ba4Sr2Gd2Co4O15 for Cu Kα X-rays, from the GGA+U geometry in the Materials Project.

Structural model:
Cell lengths 6.879, 11.708, 11.737 Å; angles 119.88, 90.32, 90.30 degrees
Fractional coordinates of all 54 atoms:
1 Ba 0.000 0.000 0.000
2 Ba 0.001 0.482 0.003
3 Ba 0.321 0.163 0.842
4 Ba 0.493 0.175 0.350
5 Ba 0.498 0.650 0.350
6 Ba 0.501 0.653 0.828
7 Ba 0.812 0.494 0.511
8 Ba 0.993 0.001 0.521
9 Sr 0.162 0.353 0.226
10 Sr 0.311 0.828 0.176
11 Sr 0.658 0.876 0.699
12 Sr 0.810 0.828 0.177
13 Gd 0.159 0.777 0.651
14 Gd 0.167 0.349 0.653
15 Gd 0.658 0.304 0.129
16 Gd 0.665 0.303 0.697
17 Co 0.345 0.489 0.508
18 Co 0.482 0.000 0.527
19 Co 0.490 0.001 0.997
20 Co 0.496 0.476 0.998
21 Co 0.862 0.160 0.841
22 Co 0.985 0.181 0.350
23 Co 0.988 0.649 0.350
24 Co 0.994 0.649 0.825
25 O 0.000 0.248 0.758
26 O 0.066 0.736 0.997
27 O 0.070 0.735 0.265
28 O 0.075 0.014 0.273
29 O 0.162 0.585 0.433
30 O 0.167 0.329 0.437
31 O 0.167 0.576 0.679
32 O 0.343 0.894 0.572
33 O 0.345 0.889 0.844
34 O 0.356 0.164 0.575
35 O 0.364 0.431 0.839
36 O 0.372 0.159 0.113
37 O 0.379 0.429 0.110
38 O 0.484 0.652 0.589
39 O 0.497 0.409 0.597
40 O 0.503 0.412 0.345
41 O 0.568 0.649 0.083
42 O 0.570 0.915 0.082
43 O 0.572 0.924 0.361
44 O 0.664 0.086 0.671
45 O 0.665 0.082 0.934
46 O 0.668 0.331 0.922
47 O 0.845 0.224 0.244
48 O 0.846 0.497 0.238
49 O 0.862 0.229 0.514
50 O 0.864 0.491 0.780
51 O 0.873 0.765 0.509
52 O 0.878 0.763 0.778
53 O 0.984 0.247 0.009
54 O 0.999 0.998 0.760

The 10 most intense peaks (5 to 70 degrees two-theta), low angle first:
2θ = 8.70°, I 16.2, (0 1 0)
2θ = 30.03°, I 11.6, (2 1 -2)
2θ = 30.22°, I 14.0, (2 1 1)
2θ = 30.48°, I 100.0, (0 2 2)
2θ = 31.27°, I 18.1, (2 0 -2)
2θ = 31.43°, I 16.5, (2 -2 2)
2θ = 31.55°, I 16.2, (2 0 2)
2θ = 37.08°, I 10.6, (2 -3 0)
2θ = 37.29°, I 9.8, (2 3 -3)
2θ = 54.21°, I 12.0, (0 6 0)

---

Copy entry 1 word for word.
Calculated X-ray diffraction stick pattern of BaGdCo2O5 for Cu Kα X-rays, from the GGA+U geometry in the Materials Project.

Structural model:
Cell lengths 3.869, 3.869, 7.582 Å; angles 90.00, 90.00, 90.00 degrees
Fractional coordinates of all 9 atoms:
1 Ba 0.000 0.000 0.000
2 Gd 0.000 0.000 0.500
3 Co 0.500 0.500 0.261
4 Co 0.500 0.500 0.739
5 O 0.000 0.500 0.308
6 O 0.000 0.500 0.692
7 O 0.500 0.000 0.308
8 O 0.500 0.000 0.692
9 O 0.500 0.500 0.000

The 10 most intense peaks (5 to 70 degrees two-theta), low angle first:
2θ = 22.99°, I 16.3, (1 0 0)
2θ = 32.73°, I 43.2, (1 1 0)
2θ = 33.08°, I 100.0, (1 0 2)
2θ = 40.67°, I 18.9, (1 1 2)
2θ = 46.97°, I 28.2, (2 0 0)
2θ = 48.00°, I 10.3, (0 0 4)
2θ = 58.65°, I 38.0, (2 1 2)
2θ = 59.31°, I 20.0, (1 1 4)
2θ = 68.61°, I 8.4, (2 2 0)
2θ = 69.42°, I 13.1, (2 0 4)